Entry 1:
Computed powder diffractogram
Compound: Tb5Sm8In
Radiation: CuKα
Structure: a DFT-relaxed cell (GGA-PBE, Alexandria)

Structural model:
Unit cell a=8.6308 b=8.6308 c=8.6308 alpha=104.93 beta=102.57 gamma=121.65
Fractional positions:
1 Tb 0.0000 0.0000 0.0000
2 Tb 0.2688 0.4556 0.8132
3 Tb 0.6273 0.4273 0.8001
4 Tb 0.6273 0.8272 0.1999
5 Tb 0.6424 0.4556 0.1868
6 Sm 0.0823 0.9996 0.4607
7 Sm 0.0823 0.6216 0.0828
8 Sm 0.4787 0.1385 0.3401
9 Sm 0.5389 0.9996 0.9172
10 Sm 0.5389 0.6216 0.5393
11 Sm 0.7984 0.1385 0.6599
12 Sm 0.9855 0.3234 0.3379
13 Sm 0.9855 0.6477 0.6621
14 In 0.3190 0.8190 0.5000

Most intense lines, 10 to 90 degrees two-theta, in order of rising 2θ:
| Position (°2θ) | I/Imax |
| --- | --- |
| 26.9 | 76.0 |
| 27.6 | 49.1 |
| 31.9 | 98.9 |
| 32.3 | 100.0 |
| 33.0 | 58.6 |
| 33.2 | 24.5 |
| 33.9 | 28.4 |
| 34.3 | 38.1 |
| 49.6 | 21.5 |
| 51.4 | 17.4 |
| 54.5 | 20.3 |
| 56.5 | 18.1 |

***

Entry 2:
Computed powder diffractogram
Compound: LiEuYMg
Radiation: CuKα
Structure: a DFT-relaxed cell (GGA-PBE, Alexandria)

Structural model:
Unit cell a=5.4923 b=5.4923 c=5.4923 alpha=60.00 beta=60.00 gamma=60.00
Fractional positions:
1 Li 0.0000 0.0000 0.0000
2 Eu 0.2500 0.2500 0.2500
3 Y 0.7500 0.7500 0.7500
4 Mg 0.5000 0.5000 0.5000

Most intense lines, 10 to 90 degrees two-theta, in order of rising 2θ:
| Position (°2θ) | I/Imax |
| --- | --- |
| 19.8 | 11.9 |
| 22.9 | 72.9 |
| 32.6 | 100.0 |
| 38.4 | 7.4 |
| 40.2 | 22.4 |
| 46.8 | 18.0 |
| 52.7 | 30.4 |
| 58.2 | 37.2 |
| 68.3 | 11.4 |
| 73.1 | 14.3 |
| 77.8 | 15.8 |
| 82.4 | 8.5 |

***

Entry 3:
Computed powder diffractogram
Compound: Sr3Er3CuSe8
Radiation: CuKα
Structure: a DFT-relaxed cell (GGA-PBE, Alexandria)

Structural model:
Unit cell a=8.2850 b=8.2850 c=8.5182 alpha=119.10 beta=119.10 gamma=59.99
Fractional positions:
1 Sr 0.0000 0.0000 0.0000
2 Sr 0.0000 0.5000 0.0000
3 Sr 0.5000 0.0000 0.0000
4 Er 0.0000 0.5000 0.5000
5 Er 0.5000 0.0000 0.5000
6 Er 0.5000 0.5000 0.5000
7 Cu 0.0000 0.0000 0.5000
8 Se 0.2383 0.2383 0.7176
9 Se 0.2390 0.7403 0.7187
10 Se 0.2574 0.2574 0.2722
11 Se 0.2597 0.7610 0.2813
12 Se 0.7403 0.2390 0.7187
13 Se 0.7426 0.7426 0.7278
14 Se 0.7610 0.2597 0.2813
15 Se 0.7617 0.7617 0.2824

Most intense lines, 10 to 90 degrees two-theta, in order of rising 2θ:
| Position (°2θ) | I/Imax |
| --- | --- |
| 12.6 | 21.1 |
| 14.9 | 8.6 |
| 25.2 | 6.3 |
| 30.1 | 100.0 |
| 39.0 | 7.6 |
| 42.5 | 35.7 |
| 43.7 | 36.6 |
| 54.0 | 19.0 |
| 62.6 | 11.2 |
| 70.1 | 14.0 |
| 71.9 | 16.1 |
| 79.4 | 11.4 |

***

Entry 4:
Computed powder diffractogram
Compound: Pr2Zn4Cu3Ag
Radiation: CuKα
Structure: a DFT-relaxed cell (GGA-PBE, Alexandria)

Structural model:
Unit cell a=4.1093 b=4.1093 c=11.2046 alpha=90.00 beta=90.00 gamma=90.00
Fractional positions:
1 Pr 0.0000 0.5000 0.2404
2 Pr 0.5000 0.0000 0.7596
3 Zn 0.0000 0.0000 0.0000
4 Zn 0.0000 0.5000 0.6428
5 Zn 0.5000 0.0000 0.3572
6 Zn 0.5000 0.5000 0.0000
7 Cu 0.0000 0.5000 0.8653
8 Cu 0.5000 0.0000 0.1347
9 Cu 0.5000 0.5000 0.5000
10 Ag 0.0000 0.0000 0.5000

Most intense lines, 10 to 90 degrees two-theta, in order of rising 2θ:
| Position (°2θ) | I/Imax |
| --- | --- |
| 30.8 | 9.3 |
| 32.4 | 50.2 |
| 34.8 | 100.0 |
| 44.1 | 47.0 |
| 44.9 | 10.7 |
| 46.1 | 29.7 |
| 55.7 | 20.9 |
| 58.8 | 10.1 |
| 64.1 | 14.6 |
| 65.7 | 19.9 |
| 75.0 | 19.9 |
| 83.5 | 10.6 |